Dy3Lu4Ni2Te2: simulated X-ray diffraction stick pattern (Cu Kα, 1.54184 Å), based on a PBE-relaxed structure.
Intensities are scaled so that the largest is 1000.

Largest 8 diffraction maxima, in order of rising 2θ, 2θ = 5–70°:
30.58 deg, intensity 764
33.25 deg, intensity 838
34.41 deg, intensity 1000
34.85 deg, intensity 528
34.98 deg, intensity 257
36.88 deg, intensity 248
47.64 deg, intensity 306
59.34 deg, intensity 391

a b c (Å): 9.2423 9.2423 9.2423
angles (deg): 156.16 67.27 118.14
Sites, in units of the cell vectors:
Dy 0.0000 0.0000 0.0000
Dy 0.2861 0.4200 0.8661
Dy 0.5538 0.4200 0.1339
Lu 0.3081 0.6226 0.6855
Lu 0.6250 0.2725 0.3525
Lu 0.9200 0.2725 0.6475
Lu 0.9372 0.6226 0.3145
Ni 0.1642 0.9305 0.2337
Ni 0.6967 0.9305 0.7663
Te 0.2639 0.7639 0.5000
Te 0.6664 0.6664 0.0000